Theoretical XRD peak list
Compound: CsLiVF6
Radiation: Cu Kα
Structure: a cell relaxed with PBE+U

The 10 most intense peaks (10° ≤ 2θ ≤ 90°), most intense first:
| Position (°2θ) | Rel. int. |
| --- | --- |
| 23.58 | 1000 |
| 43.88 | 299 |
| 19.08 | 242 |
| 54.07 | 178 |
| 33.83 | 175 |
| 36.24 | 170 |
| 41.27 | 138 |
| 33.37 | 116 |
| 38.72 | 102 |
| 46.54 | 101 |

Crystal structure
Unit cell a=5.372 b=9.299 c=6.449 alpha=90.00 beta=90.11 gamma=90.00
Space group C2 (No. 5)
Unique sites:
Cs 0.000 0.000 0.000
Li 0.000 0.669 0.500
V 0.000 0.334 0.500
F 0.115 0.488 0.665
F 0.172 0.200 0.666
F 0.212 0.813 0.668